Record 1
Starting from a DFT-relaxed cell (GGA-PBE, Alexandria), the powder diffractogram of Re7P was calculated for a wavelength of 1.5418 Å.

Most intense lines, 10 to 90 degrees two-theta, low angle first:
(1 1 1), 4.498 Å, 19.74°, intensity 8; (2 0 0), 3.895 Å, 22.83°, intensity 4; (3 1 1), 2.349 Å, 38.32°, intensity 5; (2 2 2), 2.249 Å, 40.10°, intensity 100; (4 0 0), 1.948 Å, 46.64°, intensity 49; (4 4 0), 1.377 Å, 68.08°, intensity 32; (6 2 2), 1.174 Å, 82.06°, intensity 39; (4 4 4), 1.124 Å, 86.57°, intensity 12

Crystal structure
```
data_Re7P
_chemical_formula_sum 'Re28 P4'
_cell_length_a 7.7902
_cell_length_b 7.7902
_cell_length_c 7.7902
_cell_angle_alpha 90.00
_cell_angle_beta 90.00
_cell_angle_gamma 90.00
_symmetry_space_group_name_H-M 'F m -3 m'
_symmetry_Int_Tables_number 225
_symmetry_space_group_name_Hall '-F 4 2 3'
loop_
_atom_site_label
_atom_site_type_symbol
_atom_site_fract_x
_atom_site_fract_y
_atom_site_fract_z
_atom_site_occupancy
Re1 Re 0.0000 0.0000 0.0000 1
Re2 Re 0.0000 0.2500 0.2500 1
P1 P 0.0000 0.0000 0.5000 1
```

=====

Record 2
Starting from a DFT-relaxed cell (GGA-PBE, Alexandria), the powder diffractogram of ReP was calculated for a wavelength of 1.5418 Å.

Most intense lines, 10 to 90 degrees two-theta, low angle first:
(1 0 1), 4.273 Å, 20.79°, intensity 25; (0 0 2), 3.096 Å, 28.84°, intensity 35; (2 0 0), 2.952 Å, 30.28°, intensity 46; (0 1 1), 2.738 Å, 32.70°, intensity 100; (2 0 2), 2.136 Å, 42.31°, intensity 38; (1 1 2), 2.040 Å, 44.41°, intensity 45; (2 1 1), 2.008 Å, 45.16°, intensity 81; (1 0 3), 1.948 Å, 46.62°, intensity 34

Crystal structure
```
data_ReP
_chemical_formula_sum 'Re4 P4'
_cell_length_a 5.9043
_cell_length_b 3.0531
_cell_length_c 6.1910
_cell_angle_alpha 90.00
_cell_angle_beta 90.00
_cell_angle_gamma 90.00
_symmetry_space_group_name_H-M 'P n m a'
_symmetry_Int_Tables_number 62
loop_
_symmetry_equiv_pos_as_xyz
'x,y,z'
'-x,-y,-z'
'-x+1/2,-y,z+1/2'
'x+1/2,y,-z+1/2'
'x+1/2,-y+1/2,-z+1/2'
'-x+1/2,y+1/2,z+1/2'
'-x,y+1/2,-z'
'x,-y+1/2,z'
loop_
_atom_site_label
_atom_site_type_symbol
_atom_site_fract_x
_atom_site_fract_y
_atom_site_fract_z
_atom_site_occupancy
Re1 Re 0.0332 0.2500 0.1959 1
P1 P 0.1864 0.2500 0.5595 1
```

=====

Record 3
Starting from a DFT-relaxed cell (GGA-PBE, Alexandria), the powder diffractogram of Re6P13 was calculated for a wavelength of 1.5418 Å.

Most intense lines, 10 to 90 degrees two-theta, low angle first:
(0 2 1), 5.294 Å, 16.75°, intensity 94; (3 -1 1), 4.394 Å, 20.21°, intensity 37; (4 -3 1), 3.450 Å, 25.82°, intensity 100; (0 0 3), 2.796 Å, 32.01°, intensity 62; (0 5 1), 2.596 Å, 34.55°, intensity 42; (6 -5 2), 2.116 Å, 42.72°, intensity 42; (1 6 1), 2.020 Å, 44.87°, intensity 45; (7 -1 2), 1.864 Å, 48.85°, intensity 42

Crystal structure
```
data_Re6P13
_chemical_formula_sum 'Re36 P78'
_cell_length_a 15.7608
_cell_length_b 15.7608
_cell_length_c 8.3880
_cell_angle_alpha 90.00
_cell_angle_beta 90.00
_cell_angle_gamma 120.00
_symmetry_space_group_name_H-M 'R -3'
_symmetry_Int_Tables_number 148
_symmetry_space_group_name_Hall '-R 3'
loop_
_atom_site_label
_atom_site_type_symbol
_atom_site_fract_x
_atom_site_fract_y
_atom_site_fract_z
_atom_site_occupancy
Re1 Re 0.0233 0.5564 0.1462 1
Re2 Re 0.0412 0.8547 0.1892 1
P1 P 0.0000 0.0000 0.1314 1
P2 P 0.0108 0.1985 0.0861 1
P3 P 0.0148 0.4008 0.1054 1
P4 P 0.0515 0.9097 0.4455 1
P5 P 0.0716 0.5397 0.4283 1
```

=====

Record 4
Starting from a DFT-relaxed cell (GGA-PBE, Alexandria), the powder diffractogram of ReP4 was calculated for a wavelength of 1.5418 Å.

Most intense lines, 10 to 90 degrees two-theta, low angle first:
(1 1 1), 4.692 Å, 18.91°, intensity 68; (1 0 2), 4.119 Å, 21.57°, intensity 24; (1 2 1), 3.532 Å, 25.22°, intensity 45; (2 1 0), 2.969 Å, 30.10°, intensity 26; (0 2 3), 2.866 Å, 31.20°, intensity 100; (2 1 3), 2.302 Å, 39.14°, intensity 23; (1 3 4), 1.949 Å, 46.61°, intensity 28; (1 5 1), 1.759 Å, 51.99°, intensity 22

Crystal structure
```
data_ReP4
_chemical_formula_sum 'Re8 P32'
_cell_length_a 6.2671
_cell_length_b 9.2897
_cell_length_c 10.9304
_cell_angle_alpha 90.00
_cell_angle_beta 90.00
_cell_angle_gamma 90.00
_symmetry_space_group_name_H-M 'P b c a'
_symmetry_Int_Tables_number 61
loop_
_symmetry_equiv_pos_as_xyz
'x,y,z'
'-x,-y,-z'
'-x+1/2,-y,z+1/2'
'x+1/2,y,-z+1/2'
'x+1/2,-y+1/2,-z'
'-x+1/2,y+1/2,z'
'-x,y+1/2,-z+1/2'
'x,-y+1/2,z+1/2'
loop_
_atom_site_label
_atom_site_type_symbol
_atom_site_fract_x
_atom_site_fract_y
_atom_site_fract_z
_atom_site_occupancy
Re1 Re 0.1220 0.1096 0.0755 1
P1 P 0.0014 0.7091 0.0692 1
P2 P 0.0621 0.2178 0.7359 1
P3 P 0.1880 0.5525 0.7382 1
P4 P 0.2450 0.5437 0.4184 1
```

=====

Record 5
Starting from a DFT-relaxed cell (GGA-PBE, Alexandria), the powder diffractogram of ReTePS2 was calculated for a wavelength of 1.5418 Å.

Most intense lines, 10 to 90 degrees two-theta, low angle first:
(1 0 1), 3.358 Å, 26.55°, intensity 100; (1 1 0), 3.203 Å, 27.86°, intensity 43; (0 0 2), 2.501 Å, 35.90°, intensity 24; (2 0 0), 2.265 Å, 39.80°, intensity 36; (1 1 2), 1.971 Å, 46.04°, intensity 22; (2 1 1), 1.878 Å, 48.48°, intensity 40; (2 0 2), 1.679 Å, 54.67°, intensity 28; (2 2 2), 1.349 Å, 69.72°, intensity 14

Crystal structure
```
data_ReTePS2
_chemical_formula_sum 'Re1 Te1 P1 S2'
_cell_length_a 4.5294
_cell_length_b 4.5294
_cell_length_c 5.0028
_cell_angle_alpha 90.00
_cell_angle_beta 90.00
_cell_angle_gamma 90.00
_symmetry_space_group_name_H-M 'P 4/m m m'
_symmetry_Int_Tables_number 123
_symmetry_space_group_name_Hall '-P 4 2'
loop_
_atom_site_label
_atom_site_type_symbol
_atom_site_fract_x
_atom_site_fract_y
_atom_site_fract_z
_atom_site_occupancy
Re1 Re 0.0000 0.0000 0.0000 1
Te1 Te 0.5000 0.5000 0.5000 1
P1 P 0.0000 0.0000 0.5000 1
S1 S 0.0000 0.5000 0.0000 1
```

=====

Record 6
Starting from a DFT-relaxed cell (GGA-PBE, Alexandria), the powder diffractogram of ReSiP was calculated for a wavelength of 1.5418 Å.

Most intense lines, 10 to 90 degrees two-theta, low angle first:
(0 1 1), 4.146 Å, 21.43°, intensity 100; (0 2 0), 3.104 Å, 28.76°, intensity 28; (0 0 2), 2.785 Å, 32.14°, intensity 18; (2 0 0), 2.470 Å, 36.37°, intensity 43; (2 0 -2), 2.382 Å, 37.76°, intensity 21; (0 2 2), 2.073 Å, 43.67°, intensity 15; (2 1 1), 1.889 Å, 48.18°, intensity 30; (0 1 3), 1.779 Å, 51.37°, intensity 16

Crystal structure
```
data_ReSiP
_chemical_formula_sum 'Re4 Si4 P4'
_cell_length_a 5.3925
_cell_length_b 6.2082
_cell_length_c 6.0807
_cell_angle_alpha 90.00
_cell_angle_beta 113.65
_cell_angle_gamma 90.00
_symmetry_space_group_name_H-M 'P 1 21/c 1'
_symmetry_Int_Tables_number 14
loop_
_symmetry_equiv_pos_as_xyz
'x,y,z'
'-x,-y,-z'
'-x,y+1/2,-z+1/2'
'x,-y+1/2,z+1/2'
loop_
_atom_site_label
_atom_site_type_symbol
_atom_site_fract_x
_atom_site_fract_y
_atom_site_fract_z
_atom_site_occupancy
Re1 Re 0.2382 0.0362 0.0264 1
Si1 Si 0.1523 0.6662 0.8661 1
P1 P 0.3396 0.0921 0.6738 1
```

=====

Record 7
Starting from a DFT-relaxed cell (GGA-PBE, Alexandria), the powder diffractogram of TmReP was calculated for a wavelength of 1.5418 Å.

Most intense lines, 10 to 90 degrees two-theta, low angle first:
(1 2 0), 2.991 Å, 29.88°, intensity 48; (2 1 0), 2.551 Å, 35.17°, intensity 100; (1 0 2), 2.390 Å, 37.63°, intensity 56; (2 1 1), 2.300 Å, 39.16°, intensity 53; (1 1 2), 2.267 Å, 39.77°, intensity 87; (1 3 0), 2.184 Å, 41.34°, intensity 65; (0 2 2), 2.133 Å, 42.38°, intensity 58; (2 3 2), 1.488 Å, 62.42°, intensity 55

Crystal structure
```
data_TmReP
_chemical_formula_sum 'Tm4 Re4 P4'
_cell_length_a 5.4628
_cell_length_b 7.1479
_cell_length_c 5.3159
_cell_angle_alpha 90.00
_cell_angle_beta 90.00
_cell_angle_gamma 90.00
_symmetry_space_group_name_H-M 'P b c m'
_symmetry_Int_Tables_number 57
loop_
_symmetry_equiv_pos_as_xyz
'x,y,z'
'-x,-y,-z'
'-x,-y,z+1/2'
'x,y,-z+1/2'
'x,-y+1/2,-z'
'-x,y+1/2,z'
'-x,y+1/2,-z+1/2'
'x,-y+1/2,z+1/2'
loop_
_atom_site_label
_atom_site_type_symbol
_atom_site_fract_x
_atom_site_fract_y
_atom_site_fract_z
_atom_site_occupancy
Tm1 Tm 0.1372 0.0974 0.2500 1
Re1 Re 0.3738 0.7500 0.0000 1
P1 P 0.3365 0.0444 0.7500 1
```

=====

Record 8
Starting from a DFT-relaxed cell (GGA-PBE, Alexandria), the powder diffractogram of PRh3 was calculated for a wavelength of 1.5418 Å.

Most intense lines, 10 to 90 degrees two-theta, low angle first:
(1 0 1), 2.905 Å, 30.78°, intensity 44; (1 1 1), 2.570 Å, 34.91°, intensity 42; (0 2 1), 2.537 Å, 35.38°, intensity 80; (1 0 2), 2.293 Å, 39.30°, intensity 77; (0 0 3), 2.156 Å, 41.91°, intensity 44; (1 1 2), 2.117 Å, 42.71°, intensity 37; (0 2 2), 2.098 Å, 43.11°, intensity 32; (1 2 1), 2.000 Å, 45.34°, intensity 100

Crystal structure
```
data_PRh3
_chemical_formula_sum 'P2 Rh6'
_cell_length_a 3.2511
_cell_length_b 5.5161
_cell_length_c 6.4666
_cell_angle_alpha 90.00
_cell_angle_beta 90.00
_cell_angle_gamma 90.00
_symmetry_space_group_name_H-M 'P m m n'
_symmetry_Int_Tables_number 59
loop_
_symmetry_equiv_pos_as_xyz
'x,y,z'
'-x,-y,-z'
'-x+1/2,-y+1/2,z'
'x+1/2,y+1/2,-z'
'x+1/2,-y,-z'
'-x+1/2,y,z'
'-x,y+1/2,-z'
'x,-y+1/2,z'
loop_
_atom_site_label
_atom_site_type_symbol
_atom_site_fract_x
_atom_site_fract_y
_atom_site_fract_z
_atom_site_occupancy
P1 P 0.2500 0.2500 0.2237 1
Rh1 Rh 0.2500 0.0125 0.6686 1
Rh2 Rh 0.2500 0.7500 0.0374 1
```

=====

Record 9
Starting from a DFT-relaxed cell (GGA-PBE, Alexandria), the powder diffractogram of P3Rh4 was calculated for a wavelength of 1.5418 Å.

Most intense lines, 10 to 90 degrees two-theta, low angle first:
(0 1 1), 3.169 Å, 28.16°, intensity 35; (1 1 1), 3.060 Å, 29.18°, intensity 26; (4 0 1), 2.831 Å, 31.61°, intensity 35; (1 0 4), 2.471 Å, 36.36°, intensity 35; (4 1 0), 2.209 Å, 40.84°, intensity 55; (2 1 3), 2.201 Å, 41.01°, intensity 100; (6 0 3), 1.698 Å, 54.00°, intensity 32; (0 2 0), 1.668 Å, 55.04°, intensity 29

Crystal structure
```
data_P3Rh4
_chemical_formula_sum 'P12 Rh16'
_cell_length_a 11.7930
_cell_length_b 3.3367
_cell_length_c 10.1182
_cell_angle_alpha 90.00
_cell_angle_beta 90.00
_cell_angle_gamma 90.00
_symmetry_space_group_name_H-M 'P n m a'
_symmetry_Int_Tables_number 62
loop_
_symmetry_equiv_pos_as_xyz
'x,y,z'
'-x,-y,-z'
'-x+1/2,-y,z+1/2'
'x+1/2,y,-z+1/2'
'x+1/2,-y+1/2,-z+1/2'
'-x+1/2,y+1/2,z+1/2'
'-x,y+1/2,-z'
'x,-y+1/2,z'
loop_
_atom_site_label
_atom_site_type_symbol
_atom_site_fract_x
_atom_site_fract_y
_atom_site_fract_z
_atom_site_occupancy
P1 P 0.1242 0.2500 0.2410 1
P2 P 0.1270 0.7500 0.5809 1
P3 P 0.1302 0.2500 0.9223 1
Rh1 Rh 0.0281 0.7500 0.3825 1
Rh2 Rh 0.0646 0.7500 0.0953 1
Rh3 Rh 0.2031 0.2500 0.7097 1
Rh4 Rh 0.2298 0.2500 0.4309 1
```

=====

Record 10
Starting from a DFT-relaxed cell (GGA-PBE, Alexandria), the powder diffractogram of YP2RuRh5 was calculated for a wavelength of 1.5418 Å.

Most intense lines, 10 to 90 degrees two-theta, low angle first:
(0 0 3), 3.452 Å, 25.81°, intensity 73; (1 1 1), 2.701 Å, 33.17°, intensity 68; (1 1 2), 2.462 Å, 36.50°, intensity 100; (1 1 3), 2.174 Å, 41.55°, intensity 46; (2 0 0), 1.978 Å, 45.87°, intensity 79; (1 1 4), 1.900 Å, 47.87°, intensity 74; (2 0 3), 1.717 Å, 53.37°, intensity 38; (2 0 6), 1.301 Å, 72.70°, intensity 31

Crystal structure
```
data_YP2RuRh5
_chemical_formula_sum 'Y1 P2 Ru1 Rh5'
_cell_length_a 3.9569
_cell_length_b 3.9569
_cell_length_c 10.3559
_cell_angle_alpha 90.00
_cell_angle_beta 90.00
_cell_angle_gamma 90.00
_symmetry_space_group_name_H-M 'P 4/m m m'
_symmetry_Int_Tables_number 123
_symmetry_space_group_name_Hall '-P 4 2'
loop_
_atom_site_label
_atom_site_type_symbol
_atom_site_fract_x
_atom_site_fract_y
_atom_site_fract_z
_atom_site_occupancy
Y1 Y 0.0000 0.0000 0.0000 1
P1 P 0.5000 0.5000 0.2173 1
Ru1 Ru 0.5000 0.5000 0.5000 1
Rh1 Rh 0.0000 0.5000 0.3352 1
Rh2 Rh 0.5000 0.5000 0.0000 1
```

=====

Record 11
Starting from a DFT-relaxed cell (GGA-PBE, Alexandria), the powder diffractogram of Tb3SbP2Rh9 was calculated for a wavelength of 1.5418 Å.

Most intense lines, 10 to 90 degrees two-theta, low angle first:
(0 2 1), 2.527 Å, 35.53°, intensity 82; (0 0 4), 2.303 Å, 39.12°, intensity 26; (2 0 2), 2.282 Å, 39.49°, intensity 100; (2 0 3), 1.996 Å, 45.43°, intensity 32; (2 2 0), 1.517 Å, 61.09°, intensity 27; (0 2 5), 1.508 Å, 61.47°, intensity 19; (2 0 6), 1.326 Å, 71.12°, intensity 16; (2 2 4), 1.267 Å, 74.97°, intensity 21

Crystal structure
```
data_Tb3SbP2Rh9
_chemical_formula_sum 'Tb3 Sb1 P2 Rh9'
_cell_length_a 6.0679
_cell_length_b 6.0679
_cell_length_c 9.2115
_cell_angle_alpha 90.00
_cell_angle_beta 90.00
_cell_angle_gamma 120.00
_symmetry_space_group_name_H-M 'P -3 m 1'
_symmetry_Int_Tables_number 164
_symmetry_space_group_name_Hall '-P 3 2"'
loop_
_atom_site_label
_atom_site_type_symbol
_atom_site_fract_x
_atom_site_fract_y
_atom_site_fract_z
_atom_site_occupancy
Tb1 Tb 0.0000 0.0000 0.0000 1
Tb2 Tb 0.3333 0.6667 0.7240 1
Sb1 Sb 0.0000 0.0000 0.5000 1
P1 P 0.3333 0.6667 0.1601 1
Rh1 Rh 0.0000 0.5000 0.0000 1
Rh2 Rh 0.1509 0.3018 0.2718 1
```

=====

Record 12
Starting from a DFT-relaxed cell (GGA-PBE, Alexandria), the powder diffractogram of TmSbP2Rh5 was calculated for a wavelength of 1.5418 Å.

Most intense lines, 10 to 90 degrees two-theta, low angle first:
(0 0 3), 3.415 Å, 26.09°, intensity 52; (1 0 2), 3.158 Å, 28.26°, intensity 34; (1 1 1), 2.733 Å, 32.76°, intensity 52; (1 1 2), 2.481 Å, 36.20°, intensity 100; (2 0 0), 2.006 Å, 45.21°, intensity 61; (1 1 4), 1.901 Å, 47.85°, intensity 47; (2 0 3), 1.729 Å, 52.95°, intensity 29; (2 0 6), 1.300 Å, 72.73°, intensity 25

Crystal structure
```
data_TmSbP2Rh5
_chemical_formula_sum 'Tm1 Sb1 P2 Rh5'
_cell_length_a 4.0110
_cell_length_b 4.0110
_cell_length_c 10.2454
_cell_angle_alpha 90.00
_cell_angle_beta 90.00
_cell_angle_gamma 90.00
_symmetry_space_group_name_H-M 'P 4/m m m'
_symmetry_Int_Tables_number 123
_symmetry_space_group_name_Hall '-P 4 2'
loop_
_atom_site_label
_atom_site_type_symbol
_atom_site_fract_x
_atom_site_fract_y
_atom_site_fract_z
_atom_site_occupancy
Tm1 Tm 0.0000 0.0000 0.0000 1
Sb1 Sb 0.0000 0.0000 0.5000 1
P1 P 0.5000 0.5000 0.2200 1
Rh1 Rh 0.0000 0.5000 0.3272 1
Rh2 Rh 0.5000 0.5000 0.0000 1
```

=====

Please write out number 11 again, unchanged.
Starting from a DFT-relaxed cell (GGA-PBE, Alexandria), the powder diffractogram of Tb3SbP2Rh9 was calculated for a wavelength of 1.5418 Å.

Most intense lines, 10 to 90 degrees two-theta, low angle first:
(0 2 1), 2.527 Å, 35.53°, intensity 82; (0 0 4), 2.303 Å, 39.12°, intensity 26; (2 0 2), 2.282 Å, 39.49°, intensity 100; (2 0 3), 1.996 Å, 45.43°, intensity 32; (2 2 0), 1.517 Å, 61.09°, intensity 27; (0 2 5), 1.508 Å, 61.47°, intensity 19; (2 0 6), 1.326 Å, 71.12°, intensity 16; (2 2 4), 1.267 Å, 74.97°, intensity 21

Crystal structure
```
data_Tb3SbP2Rh9
_chemical_formula_sum 'Tb3 Sb1 P2 Rh9'
_cell_length_a 6.0679
_cell_length_b 6.0679
_cell_length_c 9.2115
_cell_angle_alpha 90.00
_cell_angle_beta 90.00
_cell_angle_gamma 120.00
_symmetry_space_group_name_H-M 'P -3 m 1'
_symmetry_Int_Tables_number 164
_symmetry_space_group_name_Hall '-P 3 2"'
loop_
_atom_site_label
_atom_site_type_symbol
_atom_site_fract_x
_atom_site_fract_y
_atom_site_fract_z
_atom_site_occupancy
Tb1 Tb 0.0000 0.0000 0.0000 1
Tb2 Tb 0.3333 0.6667 0.7240 1
Sb1 Sb 0.0000 0.0000 0.5000 1
P1 P 0.3333 0.6667 0.1601 1
Rh1 Rh 0.0000 0.5000 0.0000 1
Rh2 Rh 0.1509 0.3018 0.2718 1
```

=====

- Number 8 is which compound?
  PRh3